The following is a calculated powder diffractogram of CrIrI2. It was derived from a crystal structure in Alexandria, relaxed with GGA-PBE, using Cu Ka.
Peak positions follow from Bragg's law for the DFT cell and can differ from measured ones.

Structure:
Cell: 7.8766 7.8766 7.8766 Å, 135.91 135.91 64.12°
Sites, in units of the cell vectors:
Cr 0.0000 0.0000 0.0000
Cr 0.7500 0.2500 0.5000
Ir 0.2500 0.7500 0.5000
Ir 0.5000 0.5000 0.0000
I 0.1369 0.6250 0.0119
I 0.3750 0.3869 0.5119
I 0.6131 0.1250 0.9881
I 0.8750 0.8631 0.4881

Top 12 peaks for 5 to 70 degrees two-theta, in order of rising 2θ:
- 2θ 16.40, intensity 22
- 2θ 25.13, intensity 100
- 2θ 34.58, intensity 5
- 2θ 39.65, intensity 5
- 2θ 40.77, intensity 52
- 2θ 43.28, intensity 22
- 2θ 46.22, intensity 18
- 2θ 50.70, intensity 29
- 2θ 55.03, intensity 5
- 2θ 62.87, intensity 7
- 2θ 65.17, intensity 13
- 2θ 68.81, intensity 6


The following is a calculated powder diffractogram of CrIrI. It was derived from a crystal structure in Alexandria, relaxed with GGA-PBE, using Cu Ka.
Peak positions follow from Bragg's law for the DFT cell and can differ from measured ones.

Structure:
Cell: 10.8980 3.7147 3.7147 Å, 59.48 90.00 90.00°
Sites, in units of the cell vectors:
Cr 0.0000 0.0000 0.0000
Cr 0.5000 0.0709 0.0709
Ir 0.1178 0.3306 0.3306
Ir 0.8822 0.3306 0.3306
I 0.3158 0.7604 0.7604
I 0.6842 0.7604 0.7604

Top 12 peaks for 5 to 70 degrees two-theta, in order of rising 2θ:
- 2θ 8.11, intensity 100
- 2θ 27.66, intensity 48
- 2θ 28.87, intensity 27
- 2θ 29.08, intensity 91
- 2θ 32.45, intensity 31
- 2θ 37.45, intensity 87
- 2θ 41.43, intensity 21
- 2θ 43.48, intensity 28
- 2θ 43.63, intensity 40
- 2θ 49.05, intensity 21
- 2θ 49.46, intensity 23
- 2θ 49.80, intensity 24


The following is a calculated powder diffractogram of SrCrIrSI. It was derived from a crystal structure in Alexandria, relaxed with GGA-PBE, using Cu Ka.
Peak positions follow from Bragg's law for the DFT cell and can differ from measured ones.

Structure:
Cell: 4.5033 4.0823 7.4226 Å, 90.00 101.57 90.00°
Sites, in units of the cell vectors:
Sr 0.0000 0.0000 0.0000
Cr 0.3570 0.5000 0.3823
Ir 0.5762 0.0000 0.3011
S 0.8525 0.5000 0.2641
I 0.4078 0.5000 0.7578

Top 12 peaks for 5 to 70 degrees two-theta, in order of rising 2θ:
- 2θ 12.17, intensity 63
- 2θ 20.13, intensity 50
- 2θ 24.48, intensity 66
- 2θ 25.02, intensity 89
- 2θ 25.63, intensity 71
- 2θ 28.51, intensity 60
- 2θ 30.68, intensity 100
- 2θ 33.87, intensity 44
- 2θ 43.42, intensity 40
- 2θ 44.38, intensity 39
- 2θ 46.81, intensity 42
- 2θ 57.69, intensity 41


The following is a calculated powder diffractogram of K2LiCrI6. It was derived from a crystal structure in Alexandria, relaxed with GGA-PBE, using Cu Ka.
Peak positions follow from Bragg's law for the DFT cell and can differ from measured ones.

Structure:
Cell: 7.7332 7.7462 8.2311 Å, 117.73 117.96 90.07°
Sites, in units of the cell vectors:
K 0.0000 0.0000 0.0000
K 0.4996 0.4983 0.9989
Li 0.2110 0.7094 0.4190
Cr 0.7463 0.2460 0.4928
I 0.0591 0.4324 0.5022
I 0.4414 0.0682 0.5002
I 0.5220 0.0332 0.0509
I 0.5737 0.5622 0.5107
I 0.9266 0.9375 0.4918
I 0.9796 0.4658 0.9515

Top 12 peaks for 5 to 70 degrees two-theta, in order of rising 2θ:
- 2θ 13.50, intensity 20
- 2θ 14.34, intensity 23
- 2θ 26.73, intensity 62
- 2θ 26.79, intensity 21
- 2θ 27.10, intensity 31
- 2θ 27.22, intensity 100
- 2θ 28.91, intensity 53
- 2θ 32.73, intensity 43
- 2θ 33.76, intensity 24
- 2θ 33.90, intensity 21
- 2θ 36.72, intensity 26
- 2θ 49.12, intensity 20


The following is a calculated powder diffractogram of KCr2SiI. It was derived from a crystal structure in Alexandria, relaxed with GGA-PBE, using Cu Ka.
Peak positions follow from Bragg's law for the DFT cell and can differ from measured ones.

Structure:
Cell: 5.3652 5.3652 6.1288 Å, 90.00 90.00 90.00°
Sites, in units of the cell vectors:
K 0.0000 0.0000 0.0000
Cr 0.0000 0.5000 0.5000
Cr 0.5000 0.0000 0.5000
Si 0.5000 0.5000 0.0000
I 0.0000 0.0000 0.5000

Top 12 peaks for 5 to 70 degrees two-theta, in order of rising 2θ:
- 2θ 14.45, intensity 95
- 2θ 16.52, intensity 100
- 2θ 22.02, intensity 69
- 2θ 29.14, intensity 62
- 2θ 33.40, intensity 85
- 2θ 33.68, intensity 34
- 2θ 36.56, intensity 39
- 2θ 37.48, intensity 25
- 2θ 40.37, intensity 28
- 2θ 44.91, intensity 71
- 2θ 47.96, intensity 29
- 2θ 57.11, intensity 33


The following is a calculated powder diffractogram of LaCr2SbI. It was derived from a crystal structure in Alexandria, relaxed with GGA-PBE, using Cu Ka.
Peak positions follow from Bragg's law for the DFT cell and can differ from measured ones.

Structure:
Cell: 4.7415 4.7415 6.0033 Å, 90.00 90.00 90.00°
Sites, in units of the cell vectors:
La 0.0000 0.0000 0.0000
Cr 0.0000 0.5000 0.5000
Cr 0.5000 0.0000 0.5000
Sb 0.5000 0.5000 0.0000
I 0.0000 0.0000 0.5000

Top 12 peaks for 5 to 70 degrees two-theta, in order of rising 2θ:
- 2θ 18.71, intensity 50
- 2θ 23.91, intensity 34
- 2θ 26.59, intensity 80
- 2θ 29.76, intensity 97
- 2θ 30.54, intensity 88
- 2θ 37.95, intensity 100
- 2θ 40.33, intensity 54
- 2θ 48.96, intensity 94
- 2θ 54.76, intensity 33
- 2θ 61.85, intensity 27
- 2θ 63.57, intensity 42
- 2θ 64.00, intensity 23


The following is a calculated powder diffractogram of LiCrI4. It was derived from a crystal structure in Alexandria, relaxed with GGA-PBE, using Cu Ka.
Peak positions follow from Bragg's law for the DFT cell and can differ from measured ones.

Structure:
Cell: 9.8017 9.8017 7.1171 Å, 102.56 102.56 131.08°
Sites, in units of the cell vectors:
Li 0.0728 0.9272 0.7500
Li 0.9272 0.0728 0.2500
Cr 0.4395 0.5605 0.2500
Cr 0.5605 0.4395 0.7500
I 0.0977 0.4312 0.2465
I 0.2271 0.3291 0.7925
I 0.3291 0.2271 0.2925
I 0.4312 0.0977 0.7465
I 0.5688 0.9023 0.2535
I 0.6709 0.7729 0.7075
I 0.7729 0.6709 0.2075
I 0.9023 0.5688 0.7535

Top 12 peaks for 5 to 70 degrees two-theta, in order of rising 2θ:
- 2θ 9.91, intensity 36
- 2θ 13.75, intensity 24
- 2θ 17.70, intensity 18
- 2θ 24.79, intensity 93
- 2θ 25.80, intensity 49
- 2θ 27.11, intensity 45
- 2θ 29.50, intensity 54
- 2θ 29.78, intensity 100
- 2θ 37.51, intensity 16
- 2θ 41.54, intensity 34
- 2θ 43.28, intensity 33
- 2θ 44.72, intensity 18


Copy entry 3 word for word.
The following is a calculated powder diffractogram of SrCrIrSI. It was derived from a crystal structure in Alexandria, relaxed with GGA-PBE, using Cu Ka.
Peak positions follow from Bragg's law for the DFT cell and can differ from measured ones.

Structure:
Cell: 4.5033 4.0823 7.4226 Å, 90.00 101.57 90.00°
Sites, in units of the cell vectors:
Sr 0.0000 0.0000 0.0000
Cr 0.3570 0.5000 0.3823
Ir 0.5762 0.0000 0.3011
S 0.8525 0.5000 0.2641
I 0.4078 0.5000 0.7578

Top 12 peaks for 5 to 70 degrees two-theta, in order of rising 2θ:
- 2θ 12.17, intensity 63
- 2θ 20.13, intensity 50
- 2θ 24.48, intensity 66
- 2θ 25.02, intensity 89
- 2θ 25.63, intensity 71
- 2θ 28.51, intensity 60
- 2θ 30.68, intensity 100
- 2θ 33.87, intensity 44
- 2θ 43.42, intensity 40
- 2θ 44.38, intensity 39
- 2θ 46.81, intensity 42
- 2θ 57.69, intensity 41